Record 1
For Li6Fe9CoO20, a DFT-relaxed cell (PBE+U, the Materials Project) gives the theoretical powder XRD pattern in this record (Cu Kα (λ = 1.5418 Å)).
Intensities are scaled so that the largest is 100.

Top 8 peaks for 2θ = 10–90°, low angle first:
d_spacing, 2theta, intensity
4.942, 17.9, 100
2.532, 35.5, 24
2.520, 35.6, 12
2.116, 42.7, 41
2.096, 43.2, 19
1.638, 56.1, 10
1.498, 61.9, 10
1.480, 62.8, 11

Structure:
```
36
Lattice="6.0423 0.0000 0.0000 0.0000 2.9655 0.0000 -2.6613 0.0000 20.9642" Properties=species:S:1:pos:R:3 pbc="T T T"
Li 0.0000 0.0000 0.0000
Li -1.3127 1.4828 10.4905
Li 0.2305 0.0000 16.8975
Li 1.5818 1.4828 6.4368
Li 4.3752 1.4828 2.3822
Li 3.0930 0.0000 12.8724
Fe 0.0301 0.0000 4.3239
Fe 0.2208 0.0000 12.8150
Fe 1.5674 1.4828 2.2821
Fe 2.8693 0.0000 0.0296
Fe 1.5484 1.4828 10.5744
Fe 3.1174 0.0000 8.5344
Fe 1.7868 1.4828 19.0011
Fe 4.5796 1.4828 6.4203
Fe 3.2702 0.0000 16.9145
Co -1.3175 1.4828 14.8296
O 0.0981 0.0000 2.3724
O -1.2261 1.4828 12.9505
O -1.3917 1.4828 16.7165
O -0.0441 0.0000 6.2655
O 1.5029 1.4828 0.2381
O 0.1733 0.0000 10.7751
O -0.0956 0.0000 14.8222
O 1.3489 1.4828 4.3033
O 1.8044 1.4828 8.5509
O 0.5288 0.0000 19.0026
O 1.5948 1.4828 12.6253
O 2.9370 0.0000 2.0721
O 1.8568 1.4828 17.0942
O 3.1973 0.0000 6.5521
O 1.6899 1.4828 20.9001
O 3.0221 0.0000 10.5180
O 4.7470 1.4828 4.3856
O 3.4945 0.0000 14.8796
O 3.0497 0.0000 18.9503
O 4.4417 1.4828 8.4569
```

---

Record 2
For LiCrP3O9, a DFT-relaxed cell (PBE+U, the Materials Project) gives the theoretical powder XRD pattern in this record (Cu Kα (λ = 1.5418 Å)).
Intensities are scaled so that the largest is 100.

Top 8 peaks for 2θ = 10–90°, low angle first:
d_spacing, 2theta, intensity
6.848, 12.9, 36
4.816, 18.4, 36
4.623, 19.2, 53
3.149, 28.3, 36
3.098, 28.8, 48
3.019, 29.6, 67
2.939, 30.4, 100
2.695, 33.2, 45

Structure:
```
28
Lattice="6.5781 0.0000 0.0000 0.3837 6.9210 0.0000 0.2343 1.0624 7.2725" Properties=species:S:1:pos:R:3 pbc="T T T"
Li 0.9888 0.5457 1.2536
Li 6.2073 7.4377 6.0189
Cr 1.3336 4.1558 1.0273
Cr 5.8625 3.8276 6.2453
P 1.3531 5.6199 3.9821
P 2.4835 3.4791 5.6279
P 2.8921 7.3881 5.7896
P 4.3040 0.5953 1.4829
P 4.7126 4.5043 1.6446
P 5.8431 2.3634 3.2904
O 0.4802 2.1757 2.4385
O 1.2273 5.6913 2.4717
O 1.4012 3.7842 6.6849
O 1.7575 7.1943 6.7706
O 2.0017 4.1539 4.2499
O 2.5327 6.6221 4.3925
O 2.4074 1.9753 5.1795
O 2.9044 0.9176 1.1259
O 3.3441 4.0378 1.3100
O 3.8521 3.9456 5.9625
O 4.2918 7.0658 6.1466
O 4.7887 6.0080 2.0930
O 4.6634 1.3613 2.8800
O 5.1944 3.8295 3.0226
O 5.4387 0.7891 0.5019
O 5.7950 4.1992 0.5876
O 5.9688 2.2921 4.8008
O 6.7159 5.8076 4.8341
```

---

Record 3
For Ba2LiNi2O4, a DFT-relaxed cell (PBE+U, the Materials Project) gives the theoretical powder XRD pattern in this record (Cu Kα (λ = 1.5418 Å)).
Intensities are scaled so that the largest is 100.

Top 8 peaks for 2θ = 10–90°, low angle first:
d_spacing, 2theta, intensity
5.093, 17.4, 24
3.849, 23.1, 85
2.846, 31.4, 33
2.767, 32.4, 100
2.612, 34.3, 27
2.122, 42.6, 37
2.074, 43.6, 23
1.925, 47.2, 35

Structure:
```
9
Lattice="5.0014 -2.8462 0.0000 5.0014 2.8462 0.0000 -1.6879 0.0000 5.0932" Properties=species:S:1:pos:R:3 pbc="T T T"
Ba 1.5617 0.0000 0.8264
Ba 6.7532 0.0000 4.2668
Li -0.8439 0.0000 2.5466
Ni 5.0014 0.0000 0.0000
Ni 4.1574 0.0000 2.5466
O 3.9321 1.3386 1.2059
O 4.3828 1.3386 3.8873
O 3.9321 -1.3386 1.2059
O 4.3828 -1.3386 3.8873
```